[1]
This entry pairs a crystal structure of K2AcLaTe4 with its simulated X-ray powder pattern. Radiation: λ = 1.5418 Å (Cu Kα). Structure: a structure optimized by DFT (GGA-PBE).
Intensities are scaled so that the largest is 100.

Principal peaks in the range 10 to 90 degrees two-theta, low angle first:
10.73°, I 38, (0 0 1); 25.89°, I 100, (1 1 1); 33.32°, I 15, (1 1 2); 36.25°, I 37, (1 1 -3); 37.62°, I 38, (0 2 0); 46.23°, I 20, (2 2 -2); 53.23°, I 12, (2 2 2); 59.17°, I 16, (0 2 4); 61.06°, I 18, (1 3 1); 67.00°, I 12, (1 3 -3)

Structural model:
Cell: 8.2851 4.7813 8.6963 Å, 90.00 108.48 90.00°
Space group P2/m (No. 10)
Unique sites:
K 0.0000 0.0000 0.0000 x1
K 0.5000 0.5000 0.0000 x1
Ac 0.0000 0.5000 0.5000 x1
La 0.5000 0.0000 0.5000 x1
Te 0.2471 0.0000 0.7216 x2
Te 0.2675 0.5000 0.2827 x2

***

[2]
This entry pairs a crystal structure of KLi2AcSb2 with its simulated X-ray powder pattern. Radiation: λ = 1.5418 Å (Cu Kα). Structure: a structure optimized by DFT (GGA-PBE).
Intensities are scaled so that the largest is 100.

Principal peaks in the range 10 to 90 degrees two-theta, low angle first:
21.21°, I 13, (1 0 0); 23.36°, I 71, (0 1 1); 28.92°, I 100, (0 1 2); 36.48°, I 32, (1 0 3); 37.18°, I 45, (1 1 0); 38.51°, I 16, (1 1 1); 44.38°, I 13, (2 0 1); 47.78°, I 25, (2 0 2); 55.32°, I 22, (1 1 4); 62.04°, I 23, (1 2 2)

Structural model:
Cell: 4.8365 4.8365 9.1368 Å, 90.00 90.00 120.00°
Space group P-3m1 (No. 164)
Unique sites:
K 0.0000 0.0000 0.0000 x1
Li 0.3333 0.6667 0.2478 x2
Ac 0.0000 0.0000 0.5000 x1
Sb 0.3333 0.6667 0.7199 x2

***

Q: Number 1 is which compound?
A: K2AcLaTe4

***

Q: Number 1 is which compound?
A: K2AcLaTe4